Record 1
# Zr3Tl2Cu2Se8
Theoretical powder XRD pattern, CuKα. Input: a structure optimized by DFT (GGA-PBE).

Top 6 peaks for 10° ≤ 2θ ≤ 80°, in order of rising 2θ:
two_theta, Rel. int.
13.34, 38
29.66, 44
30.04, 100
31.75, 43
33.76, 42
47.13, 36

Structure:
```
data_Zr3Tl2Cu2Se8
_cell_length_a 7.8700
_cell_length_b 7.8700
_cell_length_c 14.4501
_cell_angle_alpha 112.50
_cell_angle_beta 112.50
_cell_angle_gamma 28.37
_space_group_name_H-M_alt 'P 1'
_space_group_IT_number 1
loop_
_space_group_symop_operation_xyz
'x,y,z'
loop_
_atom_site_label
_atom_site_fract_x
_atom_site_fract_y
_atom_site_fract_z
Zr1 0.0000 0.0000 0.0000
Zr2 0.1630 0.1630 0.3757
Zr3 0.8370 0.8370 0.6243
Tl1 0.1510 0.1510 0.7841
Tl2 0.8490 0.8490 0.2159
Cu1 0.4445 0.4445 0.8025
Cu2 0.5555 0.5555 0.1975
Se1 0.1519 0.1519 0.1845
Se2 0.1996 0.1996 0.5789
Se3 0.4031 0.4031 0.0539
Se4 0.4691 0.4691 0.6464
Se5 0.5309 0.5309 0.3536
Se6 0.5969 0.5969 0.9461
Se7 0.8004 0.8004 0.4211
Se8 0.8481 0.8481 0.8155
```



Record 2
# K6RbNa8
Theoretical powder XRD pattern, CuKα. Input: a structure optimized by DFT (GGA-PBE).

Top 6 peaks for 10° ≤ 2θ ≤ 80°, in order of rising 2θ:
two_theta, Rel. int.
21.82, 35
24.43, 38
25.13, 29
27.13, 100
28.38, 34
43.00, 19

Structure:
```
data_K6RbNa8
_cell_length_a 11.1311
_cell_length_b 11.1311
_cell_length_c 7.6220
_cell_angle_alpha 90.00
_cell_angle_beta 90.00
_cell_angle_gamma 120.00
_space_group_name_H-M_alt 'P 1'
_space_group_IT_number 1
loop_
_space_group_symop_operation_xyz
'x,y,z'
loop_
_atom_site_label
_atom_site_fract_x
_atom_site_fract_y
_atom_site_fract_z
K1 0.0929 0.6485 0.1894
K2 0.3515 0.4444 0.1894
K3 0.4444 0.0929 0.8106
K4 0.5556 0.9071 0.1894
K5 0.6485 0.5556 0.8106
K6 0.9071 0.3515 0.8106
Rb1 0.0000 0.0000 0.0000
Na1 0.0590 0.7691 0.6471
Na2 0.2309 0.2899 0.6471
Na3 0.2899 0.0590 0.3529
Na4 0.3333 0.6667 0.6814
Na5 0.6667 0.3333 0.3186
Na6 0.7101 0.9410 0.6471
Na7 0.7691 0.7101 0.3529
Na8 0.9410 0.2309 0.3529
```